Structure and simulated XRD peak list of VF5 (a GGA+U-relaxed structure; copper Kα).
Peak positions follow from Bragg's law for the DFT cell and can differ from measured ones.

Structure:
```
VF5
1.0
5.3601 0.0000 0.0000
0.0000 9.2016 0.0000
-4.7479 0.0000 8.2756
V F
4 20
Direct
0.0000 0.1230 0.1225
0.0000 0.3770 0.6225
0.0000 0.6230 0.3775
0.0000 0.8770 0.8775
0.0243 0.0281 0.7694
0.0243 0.4719 0.2694
0.0269 0.2487 0.9897
0.0269 0.2513 0.4897
0.2542 0.5110 0.5734
0.2542 0.9890 0.0734
0.2805 0.7148 0.3749
0.2805 0.7852 0.8749
0.3117 0.1879 0.2893
0.3117 0.3121 0.7893
0.6883 0.6879 0.2107
0.6883 0.8121 0.7107
0.7195 0.2148 0.1251
0.7195 0.2852 0.6251
0.7458 0.0110 0.9266
0.7458 0.4890 0.4266
0.9731 0.7487 0.5103
0.9731 0.7513 0.0103
0.9757 0.5281 0.7306
0.9757 0.9719 0.2306
```

Top 10 peaks for 10 to 80 degrees two-theta, sorted by position:
2θ/deg, Rel. int., h k l
14.39, 100.0, 0 1 1
19.09, 68.8, 1 0 0
19.21, 33.5, 1 1 -1
22.11, 34.0, 0 2 1
22.62, 29.1, 1 1 -2
23.58, 22.6, 0 1 2
25.54, 11.8, 1 2 -1
38.97, 15.2, 2 2 -2
40.72, 23.3, 1 2 2
41.00, 10.4, 1 3 -3